This entry pairs a crystal structure of Mn6O5F7 with its calculated PXRD pattern. Radiation: copper Kα. Structure: a structure optimized by DFT (GGA+U).

Most intense lines, 15 to 90 degrees two-theta, in order of rising 2θ:
2θ = 24.5°, intensity 100
2θ = 28.1°, intensity 76
2θ = 34.3°, intensity 42
2θ = 34.4°, intensity 40
2θ = 49.7°, intensity 33
2θ = 49.9°, intensity 33
2θ = 50.3°, intensity 18
2θ = 53.8°, intensity 41
2θ = 65.7°, intensity 20
2θ = 65.9°, intensity 20

Structural model:
```
data_Mn6O5F7
_space_group_name_H-M_alt 'P 1'
_space_group_IT_number 1
_cell_length_a 5.7343
_cell_length_b 5.7343
_cell_length_c 7.9114
_cell_angle_alpha 111.37
_cell_angle_beta 111.37
_cell_angle_gamma 67.32
loop_
_space_group_symop_operation_xyz
'x,y,z'
loop_
_atom_site_label
_atom_site_type_symbol
_atom_site_fract_x
_atom_site_fract_y
_atom_site_fract_z
Mn1 Mn 0.0000 0.0000 0.0000
Mn2 Mn 0.2937 0.3544 0.8243
Mn3 Mn 0.3059 0.3651 0.3345
Mn4 Mn 0.6349 0.6941 0.6655
Mn5 Mn 0.6456 0.7063 0.1757
Mn6 Mn 0.9706 0.0294 0.5000
O1 O 0.0042 0.6691 0.3364
O2 O 0.2939 0.7061 0.0000
O3 O 0.3309 0.9958 0.6636
O4 O 0.6100 0.0650 0.3371
O5 O 0.9350 0.3900 0.6629
F1 F 0.0803 0.1316 0.2877
F2 F 0.2092 0.2511 0.0383
F3 F 0.4122 0.4650 0.6299
F4 F 0.5350 0.5878 0.3701
F5 F 0.6828 0.3172 0.0000
F6 F 0.7489 0.7908 0.9617
F7 F 0.8684 0.9197 0.7123
```